Entry 1:
This entry pairs a crystal structure of Li4Ni3Sb5O16 with its calculated X-ray powder pattern. Radiation: Cu Kα (weighted mean of Kα1 and Kα2). Structure: a DFT-relaxed cell (GGA+U, the Materials Project).
Kinematic intensities with the Lorentz-polarization factor, no thermal factor.

Atomic structure:
Cell: 10.676 6.186 10.225 Å, 90.00 90.29 90.00°
Space group Cm (No. 8)
Asymmetric unit:
Li  0.000  0.000  0.000
Li  0.003  0.000  0.517
Li  0.173  0.500  0.901
Li  0.333  0.000  0.417
Ni  0.340  0.500  0.228
Ni  0.427  0.247  0.728
Sb  0.092  0.252  0.230
Sb  0.179  0.000  0.730
Sb  0.186  0.500  0.525
Sb  0.358  0.000  0.986
O  0.011  0.000  0.333
O  0.013  0.500  0.333
O  0.016  0.000  0.822
O  0.096  0.232  0.617
O  0.160  0.000  0.121
O  0.169  0.500  0.122
O  0.244  0.266  0.341
O  0.264  0.221  0.852
O  0.335  0.000  0.623
O  0.351  0.500  0.614
O  0.440  0.267  0.115
O  0.495  0.000  0.854

Principal peaks in the range 10 to 90 degrees two-theta, by angle:
2θ (°), I/Imax, (hkl)
17.35, 43, 0 0 2
18.71, 100, 2 0 -1
24.05, 32, 1 1 -2
31.11, 35, 1 1 3
33.87, 40, 3 1 -2
34.01, 20, 3 1 2
34.66, 52, 2 2 1
42.92, 28, 2 2 -3
56.57, 21, 2 2 -5
59.98, 21, 6 2 0



Entry 2:
This entry pairs a crystal structure of MgCd2Co2O6 with its calculated X-ray powder pattern. Radiation: Cu Kα (weighted mean of Kα1 and Kα2). Structure: a DFT-relaxed cell (GGA+U, the Materials Project).
Kinematic intensities with the Lorentz-polarization factor, no thermal factor.

Atomic structure:
Cell: 5.383 5.384 5.914 Å, 90.09 116.91 119.98°
Space group P-1 (No. 2)
Asymmetric unit:
Mg  0.000  0.000  0.000
Cd  0.246  0.623  0.870
Co  0.353  0.177  0.530
O  0.152  0.182  0.738
O  0.232  0.415  0.262
O  0.444  0.030  0.262

Principal peaks in the range 10 to 90 degrees two-theta, by angle:
2θ (°), I/Imax, (hkl)
30.44, 61, 1 -1 1
33.28, 100, 1 1 -1
35.38, 56, 1 0 1
45.69, 15, 0 2 -2
49.33, 20, 0 2 1
49.46, 18, 2 0 -3
57.69, 13, 2 -3 1
59.47, 29, 3 0 -2
60.78, 13, 2 1 0
69.89, 13, -4 2 2



Entry 3:
This entry pairs a crystal structure of Li3Fe2P2C2O14 with its calculated X-ray powder pattern. Radiation: Cu Kα (weighted mean of Kα1 and Kα2). Structure: a DFT-relaxed cell (GGA+U, the Materials Project).
Kinematic intensities with the Lorentz-polarization factor, no thermal factor.

Atomic structure:
Cell: 8.383 6.474 10.276 Å, 90.00 94.94 90.00°
Space group Pc (No. 7)
Asymmetric unit:
Li  0.000  0.002  0.000
Li  0.187  0.205  0.254
Li  0.791  0.496  0.768
Fe  0.235  0.497  0.980
Fe  0.572  0.004  0.781
P  0.323  0.002  0.016
P  0.479  0.493  0.242
C  0.864  0.008  0.234
C  0.945  0.500  0.030
O  0.004  0.033  0.196
O  0.072  0.490  0.114
O  0.209  0.183  0.474
O  0.210  0.189  0.978
O  0.323  0.472  0.312
O  0.366  0.010  0.167
O  0.425  0.499  0.094
O  0.476  0.003  0.445
O  0.582  0.315  0.781
O  0.594  0.310  0.274
O  0.741  0.009  0.649
O  0.809  0.498  0.572
O  0.831  0.001  0.355
O  0.976  0.492  0.407

Principal peaks in the range 10 to 90 degrees two-theta, by angle:
2θ (°), I/Imax, (hkl)
10.59, 82, 1 0 0
17.33, 38, 1 1 0
19.54, 54, 1 0 -2
21.12, 73, 1 0 2
25.25, 27, 1 1 2
26.35, 35, 2 0 -2
27.56, 100, 0 2 0
35.04, 29, 0 0 4
35.80, 20, 1 0 -4
40.66, 22, 3 1 2



Entry 4:
This entry pairs a crystal structure of Mg2CoSbO6 with its calculated X-ray powder pattern. Radiation: Cu Kα (weighted mean of Kα1 and Kα2). Structure: a DFT-relaxed cell (GGA+U, the Materials Project).
Kinematic intensities with the Lorentz-polarization factor, no thermal factor.

Atomic structure:
Cell: 5.205 7.547 5.380 Å, 90.00 90.75 90.00°
Space group P2_1/m (No. 11)
Asymmetric unit:
Mg  0.014  0.250  0.036
Mg  0.479  0.750  0.430
Co  0.500  0.000  0.000
Sb  0.000  0.000  0.500
O  0.141  0.250  0.427
O  0.171  0.569  0.185
O  0.320  0.567  0.676
O  0.386  0.250  0.931

Principal peaks in the range 10 to 90 degrees two-theta, by angle:
2θ (°), I/Imax, (hkl)
23.60, 100, 0 2 0
23.95, 52, 1 0 1
33.31, 41, 0 0 2
33.62, 85, 1 2 -1
33.85, 77, 1 2 1
34.46, 35, 2 0 0
48.23, 23, 0 4 0
54.43, 22, 1 4 -1
61.06, 23, 3 2 -1
61.50, 22, 3 2 1



Entry 5:
This entry pairs a crystal structure of Sr3LaMn2W2O12 with its calculated X-ray powder pattern. Radiation: Cu Kα (weighted mean of Kα1 and Kα2). Structure: a DFT-relaxed cell (GGA+U, the Materials Project).
Kinematic intensities with the Lorentz-polarization factor, no thermal factor.

Atomic structure:
Cell: 5.753 5.777 8.167 Å, 90.04 90.05 90.47°
Space group P1 (No. 1)
Asymmetric unit:
Sr  0.000  0.000  0.000
Sr  0.021  0.067  0.497
Sr  0.506  0.557  0.495
La  0.510  0.498  0.006
Mn  0.008  0.533  0.746
Mn  0.509  0.030  0.250
W  0.010  0.533  0.248
W  0.506  0.032  0.748
O  0.103  0.548  0.003
O  0.205  0.807  0.286
O  0.240  0.830  0.711
O  0.287  0.325  0.282
O  0.311  0.301  0.711
O  0.432  0.057  0.983
O  0.588  0.016  0.517
O  0.700  0.762  0.797
O  0.724  0.735  0.198
O  0.768  0.243  0.794
O  0.799  0.269  0.198
O  0.933  0.514  0.490

Principal peaks in the range 10 to 90 degrees two-theta, by angle:
2θ (°), I/Imax, (hkl)
18.84, 49, 0 1 -1
30.94, 100, -1 1 2
31.07, 98, 1 1 2
44.25, 19, 2 -2 0
44.37, 19, 0 0 4
44.64, 17, 2 2 0
55.11, 37, 2 0 -4
55.21, 19, 2 0 4
55.38, 15, 3 1 2
64.48, 15, -2 2 4